This entry pairs a crystal structure of CoTcP2 with its theoretical X-ray powder pattern. Radiation: CuKα. Structure: a crystal structure in OQMD, relaxed with GGA-PBE.
No peak broadening, texture or thermal motion is included.

Structural model:
```
data_CoTcP2
_space_group_name_H-M_alt 'P 1'
_space_group_IT_number 1
_cell_length_a 3.1170
_cell_length_b 5.3898
_cell_length_c 6.0214
_cell_angle_alpha 90.00
_cell_angle_beta 90.00
_cell_angle_gamma 90.00
loop_
_space_group_symop_operation_xyz
'x,y,z'
loop_
_atom_site_label
_atom_site_fract_x
_atom_site_fract_y
_atom_site_fract_z
Co1 0.0000 0.2501 0.0000
Co2 0.5000 0.7499 0.5000
Tc1 0.0000 0.7453 0.0943
Tc2 0.5000 0.2547 0.5943
P1 0.0000 0.0515 0.3601
P2 0.0000 0.5720 0.7217
P3 0.5000 0.4280 0.2217
P4 0.5000 0.9485 0.8601
```

Most intense lines, 5° ≤ 2θ ≤ 70°, sorted by position:
- d 4.016, rel. 23.6
- d 3.011, rel. 29.8
- d 2.768, rel. 83.5
- d 2.696, rel. 40.4
- d 2.462, rel. 18.2
- d 2.009, rel. 99.0
- d 1.931, rel. 100.0
- d 1.881, rel. 27.9
- d 1.688, rel. 28.9
- d 1.558, rel. 21.0

=====

This entry pairs a crystal structure of GdYMg6 with its theoretical X-ray powder pattern. Radiation: CuKα. Structure: a crystal structure in OQMD, relaxed with GGA-PBE.
No peak broadening, texture or thermal motion is included.

Structural model:
```
data_GdYMg6
_space_group_name_H-M_alt 'P 1'
_space_group_IT_number 1
_cell_length_a 5.1919
_cell_length_b 7.3099
_cell_length_c 5.1920
_cell_angle_alpha 90.00
_cell_angle_beta 90.00
_cell_angle_gamma 90.00
loop_
_space_group_symop_operation_xyz
'x,y,z'
loop_
_atom_site_label
_atom_site_fract_x
_atom_site_fract_y
_atom_site_fract_z
Gd1 0.0000 0.0000 0.0000
Y1 0.5000 0.5000 0.4909
Mg1 0.0000 0.2503 0.5005
Mg2 0.0000 0.5000 0.9994
Mg3 0.0000 0.7497 0.5005
Mg4 0.5000 0.0000 0.4916
Mg5 0.5000 0.2504 0.9905
Mg6 0.5000 0.7496 0.9905
```

Most intense lines, 5° ≤ 2θ ≤ 70°, sorted by position:
- d 4.233, rel. 55.3
- d 3.671, rel. 19.6
- d 3.655, rel. 9.7
- d 2.592, rel. 100.0
- d 2.213, rel. 19.8
- d 2.206, rel. 9.8
- d 2.116, rel. 8.7
- d 1.836, rel. 11.7
- d 1.498, rel. 23.6
- d 1.494, rel. 11.8

=====

This entry pairs a crystal structure of La4PrIn5 with its theoretical X-ray powder pattern. Radiation: CuKα. Structure: a crystal structure in OQMD, relaxed with GGA-PBE.
No peak broadening, texture or thermal motion is included.

Structural model:
```
data_La4PrIn5
_space_group_name_H-M_alt 'P 1'
_space_group_IT_number 1
_cell_length_a 3.9331
_cell_length_b 3.9331
_cell_length_c 19.7123
_cell_angle_alpha 90.00
_cell_angle_beta 90.00
_cell_angle_gamma 90.00
loop_
_space_group_symop_operation_xyz
'x,y,z'
loop_
_atom_site_label
_atom_site_fract_x
_atom_site_fract_y
_atom_site_fract_z
La1 0.0000 0.0000 0.1005
La2 0.0000 0.0000 0.3018
La3 0.0000 0.0000 0.6982
La4 0.0000 0.0000 0.8995
Pr1 0.0000 0.0000 0.5000
In1 0.5000 0.5000 0.0000
In2 0.5000 0.5000 0.2010
In3 0.5000 0.5000 0.4031
In4 0.5000 0.5000 0.5969
In5 0.5000 0.5000 0.7990
```

Most intense lines, 5° ≤ 2θ ≤ 70°, sorted by position:
- d 3.936, rel. 0.8
- d 2.783, rel. 100.0
- d 1.971, rel. 6.0
- d 1.967, rel. 12.1
- d 1.607, rel. 37.4
- d 1.392, rel. 11.4

=====

This entry pairs a crystal structure of AcAuS2 with its theoretical X-ray powder pattern. Radiation: CuKα. Structure: a crystal structure in OQMD, relaxed with GGA-PBE.
No peak broadening, texture or thermal motion is included.

Structural model:
```
data_AcAuS2
_space_group_name_H-M_alt 'P 1'
_space_group_IT_number 1
_cell_length_a 7.8694
_cell_length_b 8.1071
_cell_length_c 8.3090
_cell_angle_alpha 90.00
_cell_angle_beta 115.05
_cell_angle_gamma 90.00
loop_
_space_group_symop_operation_xyz
'x,y,z'
loop_
_atom_site_label
_atom_site_fract_x
_atom_site_fract_y
_atom_site_fract_z
Ac1 0.2395 0.1177 0.2642
Ac2 0.2395 0.3823 0.7642
Ac3 0.7605 0.6177 0.2358
Ac4 0.7605 0.8823 0.7358
Au1 0.2105 0.6006 0.1431
Au2 0.2105 0.8994 0.6431
Au3 0.7895 0.1006 0.3569
Au4 0.7895 0.3994 0.8569
S1 0.0087 0.6828 0.6272
S2 0.0087 0.8172 0.1272
S3 0.4301 0.1037 0.6700
S4 0.4301 0.3963 0.1700
S5 0.5699 0.6037 0.8300
S6 0.5699 0.8963 0.3300
S7 0.9913 0.1828 0.8728
S8 0.9913 0.3172 0.3728
```

Most intense lines, 5° ≤ 2θ ≤ 70°, sorted by position:
- d 5.516, rel. 24.3
- d 3.764, rel. 28.8
- d 3.567, rel. 100.0
- d 3.409, rel. 40.8
- d 2.821, rel. 69.9
- d 2.613, rel. 14.2
- d 2.515, rel. 14.5
- d 2.302, rel. 20.3
- d 1.965, rel. 15.2
- d 1.741, rel. 18.9

=====

This entry pairs a crystal structure of Y5ReTe3 with its theoretical X-ray powder pattern. Radiation: CuKα. Structure: a crystal structure in OQMD, relaxed with GGA-PBE.
No peak broadening, texture or thermal motion is included.

Structural model:
```
data_Y5ReTe3
_space_group_name_H-M_alt 'P 1'
_space_group_IT_number 1
_cell_length_a 8.7717
_cell_length_b 8.7717
_cell_length_c 3.7333
_cell_angle_alpha 90.00
_cell_angle_beta 90.00
_cell_angle_gamma 120.00
loop_
_space_group_symop_operation_xyz
'x,y,z'
loop_
_atom_site_label
_atom_site_fract_x
_atom_site_fract_y
_atom_site_fract_z
Y1 0.0000 0.2338 0.0000
Y2 0.2338 0.0000 0.0000
Y3 0.3333 0.6667 0.0000
Y4 0.6667 0.3333 0.0000
Y5 0.7662 0.7662 0.0000
Re1 0.0000 0.0000 0.5000
Te1 0.0000 0.5712 0.5000
Te2 0.4288 0.4288 0.5000
Te3 0.5712 0.0000 0.5000
```

Most intense lines, 5° ≤ 2θ ≤ 70°, sorted by position:
- d 7.597, rel. 15.0
- d 3.798, rel. 24.5
- d 2.871, rel. 40.6
- d 2.843, rel. 40.9
- d 2.663, rel. 100.0
- d 2.532, rel. 23.3
- d 2.276, rel. 32.0
- d 1.867, rel. 14.4
- d 1.835, rel. 18.3
- d 1.579, rel. 26.8

=====

This entry pairs a crystal structure of TbY2Sn5Pb2 with its theoretical X-ray powder pattern. Radiation: CuKα. Structure: a crystal structure in OQMD, relaxed with GGA-PBE.
No peak broadening, texture or thermal motion is included.

Structural model:
```
data_TbY2Sn5Pb2
_space_group_name_H-M_alt 'P 1'
_space_group_IT_number 1
_cell_length_a 13.4871
_cell_length_b 13.4871
_cell_length_c 4.5622
_cell_angle_alpha 90.00
_cell_angle_beta 90.00
_cell_angle_gamma 161.16
loop_
_space_group_symop_operation_xyz
'x,y,z'
loop_
_atom_site_label
_atom_site_fract_x
_atom_site_fract_y
_atom_site_fract_z
Tb1 0.0000 0.0000 0.0000
Y1 0.3090 0.6910 0.5000
Y2 0.6910 0.3090 0.5000
Sn1 0.0956 0.9044 0.5000
Sn2 0.2112 0.7888 0.0000
Sn3 0.5000 0.5000 0.5000
Sn4 0.7888 0.2112 0.0000
Sn5 0.9044 0.0956 0.5000
Pb1 0.4019 0.5981 0.0000
Pb2 0.5981 0.4019 0.0000
```

Most intense lines, 5° ≤ 2θ ≤ 70°, sorted by position:
- d 13.305, rel. 11.0
- d 2.725, rel. 100.0
- d 2.661, rel. 21.0
- d 2.281, rel. 15.8
- d 2.207, rel. 14.4
- d 1.732, rel. 11.9
- d 1.699, rel. 11.2
- d 1.548, rel. 13.7
- d 1.388, rel. 13.0
- d 1.354, rel. 12.0